No. 1
For LiAlPb, a GGA-PBE-relaxed structure gives the calculated powder X-ray diffraction pattern in this record (λ = 1.5418 Å (Cu Kα)).
Intensities are scaled so that the largest is 1000.

Main lines, in order of rising 2θ (2θ from 10° to 90°):
Position (°2θ)	I/Imax
11.1	710
20.5	924
22.2	1000
27.3	718
27.6	588
33.9	587
34.4	412
35.5	905
39.3	668
44.1	415

Structure:
Unit cell a=4.9115 b=3.2615 c=7.9736 alpha=90.00 beta=95.10 gamma=90.00
Atoms (fractional coordinates):
Li  0.2273  0.0000  0.3017
Li  0.7727  0.0000  0.6983
Al  0.0000  0.5000  0.0000
Al  0.5000  0.0000  0.0000
Pb  0.2683  0.5000  0.6678
Pb  0.7317  0.5000  0.3322


No. 2
For Li3Ag3Sn2, a GGA-PBE-relaxed structure gives the calculated powder X-ray diffraction pattern in this record (λ = 1.5418 Å (Cu Kα)).
Intensities are scaled so that the largest is 1000.

Main lines, in order of rising 2θ (2θ from 10° to 90°):
Position (°2θ)	I/Imax
11.6	78
22.2	71
23.2	448
38.4	1000
45.3	234
55.4	168
60.8	71
69.3	257
69.5	84
74.3	71

Structure:
Unit cell a=8.1183 b=8.1183 c=8.1183 alpha=33.62 beta=33.62 gamma=33.62
Atoms (fractional coordinates):
Li  0.0000  0.0000  0.0000
Li  0.1246  0.1246  0.1246
Li  0.5011  0.5011  0.5011
Ag  0.3785  0.3785  0.3785
Ag  0.6251  0.6251  0.6251
Ag  0.8738  0.8738  0.8738
Sn  0.2502  0.2502  0.2502
Sn  0.7506  0.7506  0.7506


No. 3
For Cr2S3, a GGA-PBE-relaxed structure gives the calculated powder X-ray diffraction pattern in this record (λ = 1.5418 Å (Cu Kα)).
Intensities are scaled so that the largest is 1000.

Main lines, in order of rising 2θ (2θ from 10° to 90°):
Position (°2θ)	I/Imax
15.8	463
18.8	240
29.3	159
29.7	241
33.8	922
44.1	1000
52.7	498
58.0	172
71.0	205
89.7	157

Structure:
Unit cell a=6.0202 b=6.0202 c=11.2448 alpha=90.00 beta=90.00 gamma=120.00
Atoms (fractional coordinates):
Cr  0.0000  0.0000  0.0000
Cr  0.0000  0.0000  0.5000
Cr  0.3333  0.6667  0.0174
Cr  0.3333  0.6667  0.4826
Cr  0.3333  0.6667  0.7500
Cr  0.6667  0.3333  0.2500
Cr  0.6667  0.3333  0.5174
Cr  0.6667  0.3333  0.9826
S  0.0212  0.3458  0.8833
S  0.0212  0.6754  0.6167
S  0.3246  0.3458  0.6167
S  0.3246  0.9788  0.8833
S  0.3458  0.0212  0.3833
S  0.3458  0.3246  0.1167
S  0.6542  0.6754  0.8833
S  0.6542  0.9788  0.6167
S  0.6754  0.0212  0.1167
S  0.6754  0.6542  0.3833
S  0.9788  0.3246  0.3833
S  0.9788  0.6542  0.1167


No. 4
For Cs2HfSb2S6, a GGA-PBE-relaxed structure gives the calculated powder X-ray diffraction pattern in this record (λ = 1.5418 Å (Cu Kα)).
Intensities are scaled so that the largest is 1000.

Main lines, in order of rising 2θ (2θ from 10° to 90°):
Position (°2θ)	I/Imax
22.2	445
23.8	1000
24.4	434
27.3	711
33.2	435
37.6	249
42.5	232
44.4	231
47.0	207
52.1	278

Structure:
Unit cell a=6.6354 b=6.6354 c=8.7647 alpha=103.79 beta=103.79 gamma=66.82
Atoms (fractional coordinates):
Cs  0.1893  0.1893  0.1085
Cs  0.8107  0.8107  0.8915
Hf  0.0000  0.0000  0.5000
Sb  0.3992  0.3992  0.7500
Sb  0.6008  0.6008  0.2500
S  0.2026  0.7230  0.2727
S  0.2301  0.2301  0.5075
S  0.2770  0.7974  0.7273
S  0.7230  0.2026  0.2727
S  0.7699  0.7699  0.4925
S  0.7974  0.2770  0.7273


No. 5
For Sn4SbTe5, a GGA-PBE-relaxed structure gives the calculated powder X-ray diffraction pattern in this record (λ = 1.5418 Å (Cu Kα)).
Intensities are scaled so that the largest is 1000.

Main lines, in order of rising 2θ (2θ from 10° to 90°):
Position (°2θ)	I/Imax
27.9	1000
39.9	771
49.4	278
57.7	88
57.9	44
65.3	242
65.4	121
72.5	268
86.1	29
86.2	59

Structure:
Unit cell a=7.8232 b=7.8232 c=7.8232 alpha=99.56 beta=99.56 gamma=131.91
Atoms (fractional coordinates):
Sn  0.0987  0.6976  0.7963
Sn  0.3024  0.0987  0.4011
Sn  0.6976  0.9013  0.5989
Sn  0.9013  0.3024  0.2037
Sb  0.5000  0.5000  0.0000
Te  0.0000  0.0000  0.0000
Te  0.2029  0.4004  0.6034
Te  0.4004  0.7971  0.1975
Te  0.5996  0.2029  0.8025
Te  0.7971  0.5996  0.3966


No. 6
For KNd3, a GGA-PBE-relaxed structure gives the calculated powder X-ray diffraction pattern in this record (λ = 1.5418 Å (Cu Kα)).
Intensities are scaled so that the largest is 1000.

Main lines, in order of rising 2θ (2θ from 10° to 90°):
Position (°2θ)	I/Imax
18.6	133
28.8	1000
32.7	180
33.8	329
47.7	247
48.5	117
55.9	153
57.4	282
59.7	125
77.1	117

Structure:
Unit cell a=6.6472 b=6.6472 c=6.6472 alpha=132.91 beta=132.91 gamma=68.80
Atoms (fractional coordinates):
K  0.0000  0.0000  0.0000
Nd  0.2500  0.7500  0.5000
Nd  0.5000  0.5000  0.0000
Nd  0.7500  0.2500  0.5000


No. 7
For Ba2In6PdPt, a GGA-PBE-relaxed structure gives the calculated powder X-ray diffraction pattern in this record (λ = 1.5418 Å (Cu Kα)).
Intensities are scaled so that the largest is 1000.

Main lines, in order of rising 2θ (2θ from 10° to 90°):
Position (°2θ)	I/Imax
16.8	257
23.8	334
29.2	548
33.9	1000
38.0	134
41.8	151
48.7	709
57.8	226
60.6	242
81.3	313

Structure:
Unit cell a=7.4831 b=7.4831 c=7.4831 alpha=60.00 beta=60.00 gamma=60.00
Atoms (fractional coordinates):
Ba  0.2500  0.2500  0.2500
Ba  0.7500  0.7500  0.7500
In  0.2490  0.2490  0.7510
In  0.2490  0.7510  0.2490
In  0.2490  0.7510  0.7510
In  0.7510  0.2490  0.2490
In  0.7510  0.2490  0.7510
In  0.7510  0.7510  0.2490
Pd  0.0000  0.0000  0.0000
Pt  0.5000  0.5000  0.5000


No. 8
For AcNd6Y2, a GGA-PBE-relaxed structure gives the calculated powder X-ray diffraction pattern in this record (λ = 1.5418 Å (Cu Kα)).
Intensities are scaled so that the largest is 1000.

Main lines, in order of rising 2θ (2θ from 10° to 90°):
Position (°2θ)	I/Imax
27.8	561
29.3	499
30.8	858
32.4	1000
40.8	360
49.3	391
54.9	281
58.3	427
60.2	170
81.4	144

Structure:
Unit cell a=3.6993 b=3.6993 c=27.4634 alpha=90.00 beta=90.00 gamma=120.00
Atoms (fractional coordinates):
Ac  0.0000  0.0000  0.0000
Nd  0.0000  0.0000  0.2245
Nd  0.0000  0.0000  0.4346
Nd  0.0000  0.0000  0.5654
Nd  0.0000  0.0000  0.7755
Nd  0.3333  0.6667  0.1164
Nd  0.3333  0.6667  0.8836
Y  0.3333  0.6667  0.3319
Y  0.3333  0.6667  0.6681


No. 9
For ScTeHI2, a GGA-PBE-relaxed structure gives the calculated powder X-ray diffraction pattern in this record (λ = 1.5418 Å (Cu Kα)).
Intensities are scaled so that the largest is 1000.

Main lines, in order of rising 2θ (2θ from 10° to 90°):
Position (°2θ)	I/Imax
15.4	505
15.8	247
27.0	1000
31.0	568
31.9	262
44.4	206
45.1	394
52.8	311
54.0	145
55.7	207

Structure:
Unit cell a=5.7689 b=5.7689 c=5.6032 alpha=90.00 beta=90.00 gamma=90.00
Atoms (fractional coordinates):
Sc  0.0000  0.0000  0.0000
Te  0.0000  0.0000  0.5000
H  0.5000  0.5000  0.5000
I  0.0000  0.5000  0.0000
I  0.5000  0.0000  0.0000


No. 10
For Rb2ScAlPt, a GGA-PBE-relaxed structure gives the calculated powder X-ray diffraction pattern in this record (λ = 1.5418 Å (Cu Kα)).
Intensities are scaled so that the largest is 1000.

Main lines, in order of rising 2θ (2θ from 10° to 90°):
Position (°2θ)	I/Imax
14.4	171
21.7	315
26.1	1000
29.0	503
32.7	182
36.5	172
41.5	188
44.3	311
49.7	341
53.8	174

Structure:
Unit cell a=6.1590 b=6.1590 c=5.4731 alpha=90.00 beta=90.00 gamma=90.00
Atoms (fractional coordinates):
Rb  0.0000  0.5000  0.0000
Rb  0.5000  0.0000  0.0000
Sc  0.0000  0.0000  0.5000
Al  0.0000  0.0000  0.0000
Pt  0.5000  0.5000  0.5000


No. 11
For La3SmP4, a GGA-PBE-relaxed structure gives the calculated powder X-ray diffraction pattern in this record (λ = 1.5418 Å (Cu Kα)).
Intensities are scaled so that the largest is 1000.

Main lines, in order of rising 2θ (2θ from 10° to 90°):
Position (°2θ)	I/Imax
25.8	768
29.8	1000
42.7	737
50.5	385
53.0	259
62.0	120
68.3	156
70.3	331
78.2	247
84.0	118

Structure:
Unit cell a=7.3326 b=7.3326 c=4.2374 alpha=90.00 beta=90.00 gamma=109.43
Atoms (fractional coordinates):
La  0.0000  0.0000  0.0000
La  0.0000  0.5000  0.5000
La  0.5000  0.0000  0.5000
Sm  0.5000  0.5000  0.0000
P  0.2528  0.7472  0.0000
P  0.2551  0.2551  0.5000
P  0.7449  0.7449  0.5000
P  0.7472  0.2528  0.0000